# SrMgPb
Computed powder diffraction line list, Cu Kα. Input: the PBE geometry in the Materials Project.
Intensities are scaled so that the largest is 100.

abc: 8.3170 5.0249 9.0661
angles: 90.00 90.00 90.00
Space group Pnma (No. 62)
Symmetry-distinct sites (fractional):
Sr 0.0111 0.2500 0.1885
Mg 0.1450 0.2500 0.5664
Pb 0.2224 0.7500 0.3910

Most intense lines, 10° ≤ 2θ ≤ 80°, in order of rising 2θ:
2θ = 22.3°, I 73, (1 0 2); 2θ = 22.9°, I 85, (1 1 1); 2θ = 28.6°, I 30, (1 1 2); 2θ = 29.6°, I 100, (2 1 1); 2θ = 34.6°, I 46, (0 1 3); 2θ = 35.7°, I 37, (0 2 0); 2θ = 38.0°, I 23, (3 0 2); 2θ = 38.4°, I 23, (3 1 1); 2θ = 41.1°, I 20, (2 1 3); 2θ = 42.6°, I 29, (1 2 2); 2θ = 53.2°, I 18, (3 2 2); 2θ = 60.4°, I 17, (2 3 1)